PaCo2TcO8: theoretical X-ray diffraction stick pattern (a wavelength of 1.5418 Å), based on the PBE+U geometry in Alexandria.

The 8 most intense peaks (2θ from 5° to 70°), low angle first:
hkl, d [Å], 2θ/deg, intensity
1 0 1, 4.728, 18.8, 65
2 0 0, 3.275, 27.2, 100
1 1 2, 2.749, 32.6, 97
2 1 1, 2.692, 33.3, 20
2 2 0, 2.316, 38.9, 22
3 1 2, 1.771, 51.6, 69
2 0 4, 1.514, 61.2, 19
3 3 2, 1.407, 66.5, 19

```
data_PaCo2TcO8
_symmetry_space_group_name_H-M 'I -4 m 2'
_symmetry_Int_Tables_number 119
_symmetry_space_group_name_Hall 'I -4 -2'
_cell_length_a 6.5507
_cell_length_b 6.5507
_cell_length_c 6.8298
_cell_angle_alpha 90.00
_cell_angle_beta 90.00
_cell_angle_gamma 90.00
loop_
_atom_site_label
_atom_site_type_symbol
_atom_site_fract_x
_atom_site_fract_y
_atom_site_fract_z
Pa1 Pa 0.0000 0.0000 0.0000
Co1 Co 0.0000 0.0000 0.5000
Co2 Co 0.0000 0.5000 0.2500
Tc1 Tc 0.0000 0.5000 0.7500
O1 O 0.0000 0.2127 0.6887
O2 O 0.0000 0.3230 0.0279
```